1.
For MnAg4Cl7, a GGA-PBE-relaxed structure gives the calculated X-ray powder pattern in this record (Cu Kα X-rays).
Neutral-atom scattering factors, no anomalous dispersion.

Atomic structure:
Unit cell a=6.896 b=6.896 c=12.853 alpha=114.71 beta=114.71 gamma=31.38
Sites, in units of the cell vectors:
Mn 0.000 0.000 0.000
Ag 0.227 0.227 0.697
Ag 0.599 0.599 0.351
Ag 0.790 0.790 0.148
Ag 0.915 0.915 0.539
Cl 0.130 0.130 0.194
Cl 0.260 0.260 0.499
Cl 0.391 0.391 0.036
Cl 0.572 0.572 0.641
Cl 0.610 0.610 0.961
Cl 0.879 0.879 0.804
Cl 0.948 0.948 0.342

Main lines, by intensity (15° ≤ 2θ ≤ 90°):
| two_theta | I/Imax |
| --- | --- |
| 21.30 | 100 |
| 31.90 | 67 |
| 25.65 | 66 |
| 31.43 | 55 |
| 32.88 | 48 |
| 36.05 | 47 |

2.
For Mn5Ag3Cl16, a GGA-PBE-relaxed structure gives the calculated X-ray powder pattern in this record (Cu Kα X-rays).
Neutral-atom scattering factors, no anomalous dispersion.

Atomic structure:
Unit cell a=7.858 b=7.858 c=11.874 alpha=95.74 beta=95.74 gamma=55.69
Sites, in units of the cell vectors:
Mn 0.000 0.000 0.000
Mn 0.348 0.860 0.496
Mn 0.508 0.508 0.236
Mn 0.826 0.826 0.750
Mn 0.860 0.348 0.496
Ag 0.360 0.360 0.503
Ag 0.500 0.993 0.019
Ag 0.993 0.500 0.019
Cl 0.040 0.040 0.604
Cl 0.135 0.701 0.852
Cl 0.140 0.140 0.910
Cl 0.182 0.182 0.392
Cl 0.222 0.688 0.355
Cl 0.335 0.801 0.117
Cl 0.357 0.357 0.129
Cl 0.542 0.542 0.602
Cl 0.547 0.995 0.619
Cl 0.660 0.660 0.357
Cl 0.688 0.222 0.355
Cl 0.691 0.691 0.859
Cl 0.701 0.135 0.852
Cl 0.801 0.335 0.117
Cl 0.870 0.870 0.107
Cl 0.995 0.547 0.619

Main lines, by intensity (15° ≤ 2θ ≤ 90°):
| two_theta | I/Imax |
| --- | --- |
| 15.02 | 100 |
| 30.76 | 57 |
| 15.24 | 57 |
| 15.95 | 56 |
| 46.58 | 54 |
| 32.21 | 54 |

3.
For Mn3Ag5Cl16, a GGA-PBE-relaxed structure gives the calculated X-ray powder pattern in this record (Cu Kα X-rays).
Neutral-atom scattering factors, no anomalous dispersion.

Atomic structure:
Unit cell a=7.911 b=7.911 c=12.701 alpha=100.83 beta=100.83 gamma=55.03
Sites, in units of the cell vectors:
Mn 0.000 0.000 0.000
Mn 0.153 0.657 0.504
Mn 0.657 0.153 0.504
Ag 0.011 0.490 0.991
Ag 0.208 0.208 0.254
Ag 0.490 0.011 0.991
Ag 0.492 0.492 0.804
Ag 0.663 0.663 0.531
Cl 0.110 0.110 0.889
Cl 0.138 0.690 0.892
Cl 0.305 0.810 0.603
Cl 0.307 0.866 0.108
Cl 0.332 0.332 0.120
Cl 0.362 0.362 0.622
Cl 0.444 0.444 0.393
Cl 0.497 0.997 0.409
Cl 0.675 0.675 0.873
Cl 0.690 0.138 0.892
Cl 0.810 0.305 0.603
Cl 0.859 0.859 0.619
Cl 0.866 0.307 0.108
Cl 0.886 0.886 0.102
Cl 0.945 0.945 0.394
Cl 0.997 0.497 0.409

Main lines, by intensity (15° ≤ 2θ ≤ 90°):
| two_theta | I/Imax |
| --- | --- |
| 16.09 | 100 |
| 29.29 | 85 |
| 49.93 | 76 |
| 28.37 | 74 |
| 33.49 | 67 |
| 46.89 | 56 |